Li2La2Bi2O: calculated powder diffractogram (CuKα), based on a DFT-relaxed cell (GGA-PBE, Alexandria).

```
Li2La2Bi2O
1.0
-2.343 2.343 8.018
2.343 -2.343 8.018
2.343 2.343 -8.018
Li La Bi O
2 2 2 1
Cartesian
2.343 0.000 0.000
0.000 2.343 0.000
0.000 0.000 2.320
0.000 0.000 13.715
0.000 0.000 5.856
0.000 0.000 10.179
0.000 0.000 0.000
```

The 12 most intense peaks (10° ≤ 2θ ≤ 90°), low angle first:
Position (°2θ), d (Å), I (rel.)
22.18, 4.009, 62
26.91, 3.314, 100
35.14, 2.554, 84
38.42, 2.343, 42
43.51, 2.080, 15
44.80, 2.023, 41
53.42, 1.715, 17
55.46, 1.657, 14
60.46, 1.531, 17
60.81, 1.523, 13
62.69, 1.482, 19
67.37, 1.390, 26



LaMg6Bi: calculated powder diffractogram (CuKα), based on a DFT-relaxed cell (GGA-PBE, Alexandria).

```
LaMg6Bi
1.0
5.065 0.000 0.000
0.000 3.279 6.404
0.000 -3.279 6.404
La Mg Bi
1 6 1
Cartesian
0.000 0.000 0.000
0.000 -1.486 3.288
0.000 1.486 3.288
0.000 0.000 6.974
2.532 -1.665 7.952
2.532 0.000 5.087
2.532 1.665 7.952
2.532 0.000 10.598
```

The 12 most intense peaks (10° ≤ 2θ ≤ 90°), low angle first:
Position (°2θ), d (Å), I (rel.)
13.83, 6.404, 17
15.18, 5.837, 100
22.38, 3.973, 46
23.25, 3.825, 35
27.20, 3.279, 18
30.60, 2.921, 85
33.10, 2.707, 37
35.49, 2.530, 99
37.70, 2.386, 18
38.76, 2.323, 21
41.89, 2.156, 18
63.68, 1.461, 24



LaMgBi3: calculated powder diffractogram (CuKα), based on a DFT-relaxed cell (GGA-PBE, Alexandria).

```
LaMgBi3
1.0
14.173 0.000 0.000
0.000 6.548 0.000
0.000 0.000 6.633
La Mg Bi
4 4 12
Cartesian
2.588 0.013 1.658
2.588 3.261 4.975
11.585 3.287 1.658
11.585 6.535 4.975
5.528 4.911 0.000
5.528 4.911 3.317
8.645 1.637 0.000
8.645 1.637 3.317
0.023 4.911 0.000
0.023 4.911 3.317
3.448 0.018 4.975
3.448 3.256 1.658
5.982 1.153 1.658
5.982 2.121 4.975
8.191 4.427 1.658
8.191 5.395 4.975
10.725 3.292 4.975
10.725 6.530 1.658
14.150 1.637 0.000
14.150 1.637 3.317
```

The 12 most intense peaks (10° ≤ 2θ ≤ 90°), low angle first:
Position (°2θ), d (Å), I (rel.)
26.88, 3.317, 72
27.62, 3.229, 34
29.74, 3.004, 48
30.07, 2.972, 100
31.56, 2.835, 40
33.00, 2.714, 42
33.30, 2.691, 31
38.64, 2.330, 32
39.18, 2.299, 39
46.66, 1.947, 32
55.40, 1.658, 23
64.32, 1.448, 35